Entry 1:
For Li2V3SnO8, a structure optimized by DFT (GGA+U) gives the computed X-ray powder pattern in this record (Cu Kα).
Intensities are scaled so that the largest is 1000.

The 10 most intense peaks (10 to 90 degrees two-theta), sorted by position:
Position (°2θ)  Rel. int.
17.93  538
18.03  588
20.58  453
20.85  888
29.43  391
34.48  596
34.79  1000
34.91  685
56.09  382
61.35  346

Cell and atoms:
Unit cell a=6.0644 b=6.0669 c=8.5200 alpha=89.45 beta=89.99 gamma=89.27
Positions (direct):
Li (0.0000, 0.0000, 0.0000)
Li (0.0093, 0.7655, 0.6336)
Li (0.4988, 0.5007, 0.4998)
Li (0.5095, 0.2653, 0.1335)
V (0.0022, 0.2890, 0.6383)
V (0.2462, 0.5170, 0.8750)
V (0.2667, 0.0167, 0.3774)
V (0.5028, 0.7885, 0.1385)
V (0.7457, 0.0174, 0.3752)
V (0.7670, 0.5161, 0.8775)
Sn (0.0073, 0.5301, 0.2501)
Sn (0.5065, 0.0297, 0.7499)
O (0.0020, 0.7279, 0.8773)
O (0.0054, 0.2580, 0.3895)
O (0.0093, 0.2743, 0.8656)
O (0.0095, 0.7941, 0.3864)
O (0.2327, 0.0241, 0.6188)
O (0.2374, 0.4871, 0.6430)
O (0.2761, 0.9857, 0.1396)
O (0.2791, 0.5235, 0.1179)
O (0.5018, 0.2286, 0.3770)
O (0.5054, 0.7578, 0.8895)
O (0.5090, 0.7748, 0.3661)
O (0.5097, 0.2936, 0.8862)
O (0.7333, 0.5235, 0.1191)
O (0.7376, 0.9861, 0.1430)
O (0.7763, 0.4864, 0.6393)
O (0.7784, 0.0239, 0.6178)

---

Entry 2:
For Mg3FeSi2O8, a structure optimized by DFT (GGA+U) gives the computed X-ray powder pattern in this record (Cu Kα).
Intensities are scaled so that the largest is 1000.

The 10 most intense peaks (10 to 90 degrees two-theta), sorted by position:
Position (°2θ)  Rel. int.
17.08  624
22.54  560
31.77  1000
35.12  650
35.88  770
36.04  746
51.22  440
51.46  449
61.04  356
61.71  488

Cell and atoms:
Unit cell a=4.8482 b=10.3807 c=7.7512 alpha=90.00 beta=128.43 gamma=90.00
Positions (direct):
Mg (0.0000, 0.0000, 0.0000)
Mg (0.0000, 0.5000, 0.5000)
Mg (0.2596, 0.2224, 0.7506)
Mg (0.2596, 0.2776, 0.2506)
Mg (0.7404, 0.7224, 0.7494)
Mg (0.7404, 0.7776, 0.2494)
Fe (0.5000, 0.0000, 0.5000)
Fe (0.5000, 0.5000, 0.0000)
Si (0.1771, 0.5951, 0.2511)
Si (0.1771, 0.9049, 0.7511)
Si (0.8229, 0.0951, 0.2489)
Si (0.8229, 0.4049, 0.7489)
O (0.0400, 0.0524, 0.7537)
O (0.0400, 0.4476, 0.2537)
O (0.1797, 0.1662, 0.4645)
O (0.1797, 0.3338, 0.9645)
O (0.2435, 0.6635, 0.4667)
O (0.2435, 0.8365, 0.9667)
O (0.4822, 0.0933, 0.2472)
O (0.4822, 0.4067, 0.7472)
O (0.5178, 0.5933, 0.2528)
O (0.5178, 0.9067, 0.7528)
O (0.7565, 0.1635, 0.0333)
O (0.7565, 0.3365, 0.5333)
O (0.8203, 0.6662, 0.0355)
O (0.8203, 0.8338, 0.5355)
O (0.9600, 0.5524, 0.7463)
O (0.9600, 0.9476, 0.2463)

---

Entry 3:
For Ba2YTlCr2O7, a structure optimized by DFT (GGA+U) gives the computed X-ray powder pattern in this record (Cu Kα).
Intensities are scaled so that the largest is 1000.

The 10 most intense peaks (10 to 90 degrees two-theta), sorted by position:
Position (°2θ)  Rel. int.
26.31  266
30.45  1000
32.05  562
34.04  155
42.44  146
45.95  288
47.45  138
53.07  160
56.13  354
58.41  120

Cell and atoms:
Unit cell a=3.9498 b=3.9498 c=13.1675 alpha=90.00 beta=90.00 gamma=90.00
Positions (direct):
Ba (0.0000, 0.0000, 0.1965)
Ba (0.0000, 0.0000, 0.8035)
Y (0.0000, 0.0000, 0.5000)
Tl (0.5000, 0.5000, 0.0000)
Cr (0.5000, 0.5000, 0.3611)
Cr (0.5000, 0.5000, 0.6389)
O (0.0000, 0.0000, 0.0000)
O (0.0000, 0.5000, 0.3928)
O (0.0000, 0.5000, 0.6072)
O (0.5000, 0.0000, 0.3928)
O (0.5000, 0.0000, 0.6072)
O (0.5000, 0.5000, 0.2151)
O (0.5000, 0.5000, 0.7849)

---

Entry 4:
For Na2MnBAsO7, a structure optimized by DFT (GGA+U) gives the computed X-ray powder pattern in this record (Cu Kα).
Intensities are scaled so that the largest is 1000.

The 10 most intense peaks (10 to 90 degrees two-theta), sorted by position:
Position (°2θ)  Rel. int.
16.55  388
23.62  800
24.60  1000
25.95  334
27.09  650
28.80  387
32.81  575
32.97  412
33.47  617
36.93  368

Cell and atoms:
Unit cell a=5.4672 b=6.5829 c=9.2325 alpha=90.00 beta=93.04 gamma=90.00
Positions (direct):
Na (0.2358, 0.0047, 0.2883)
Na (0.2358, 0.4953, 0.2883)
Na (0.7642, 0.5047, 0.7117)
Na (0.7642, 0.9953, 0.7117)
Mn (0.2162, 0.7500, 0.8368)
Mn (0.7838, 0.2500, 0.1632)
B (0.2727, 0.7500, 0.5790)
B (0.7273, 0.2500, 0.4210)
As (0.2812, 0.2500, 0.9332)
As (0.7188, 0.7500, 0.0668)
O (0.0479, 0.7500, 0.6467)
O (0.1297, 0.2500, 0.0908)
O (0.1971, 0.0480, 0.8225)
O (0.1971, 0.4520, 0.8225)
O (0.3055, 0.7500, 0.4387)
O (0.4047, 0.7500, 0.0285)
O (0.4585, 0.7500, 0.6926)
O (0.5415, 0.2500, 0.3074)
O (0.5953, 0.2500, 0.9715)
O (0.6945, 0.2500, 0.5613)
O (0.8029, 0.5480, 0.1775)
O (0.8029, 0.9520, 0.1775)
O (0.8703, 0.7500, 0.9092)
O (0.9521, 0.2500, 0.3533)

---

Entry 5:
For Li4Fe3O2F6, a structure optimized by DFT (GGA+U) gives the computed X-ray powder pattern in this record (Cu Kα).
Intensities are scaled so that the largest is 1000.

The 10 most intense peaks (10 to 90 degrees two-theta), sorted by position:
Position (°2θ)  Rel. int.
15.26  279
17.11  173
17.76  873
19.76  176
34.33  173
34.63  242
34.86  241
41.62  489
42.12  1000
60.41  256

Cell and atoms:
Unit cell a=5.2713 b=5.3094 c=11.7521 alpha=81.33 beta=86.36 gamma=79.70
Positions (direct):
Li (0.2258, 0.1782, 0.3211)
Li (0.2258, 0.6798, 0.8210)
Li (0.2653, 0.4556, 0.0613)
Li (0.2645, 0.9549, 0.5613)
Li (0.7355, 0.0451, 0.4387)
Li (0.7347, 0.5444, 0.9387)
Li (0.7742, 0.3202, 0.1790)
Li (0.7742, 0.8218, 0.6789)
Fe (0.0000, 0.0000, 0.0000)
Fe (0.0000, 0.5000, 0.5000)
Fe (0.4987, 0.1099, 0.8792)
Fe (0.4988, 0.6091, 0.3795)
Fe (0.5012, 0.3909, 0.6205)
Fe (0.5013, 0.8901, 0.1208)
O (0.3525, 0.3032, 0.4664)
O (0.3530, 0.8032, 0.9664)
O (0.6470, 0.1968, 0.0336)
O (0.6475, 0.6968, 0.5336)
F (0.1284, 0.8583, 0.4152)
F (0.1292, 0.3585, 0.9149)
F (0.1385, 0.6369, 0.6574)
F (0.1398, 0.1375, 0.1572)
F (0.4125, 0.0421, 0.7086)
F (0.4144, 0.5408, 0.2091)
F (0.5856, 0.4592, 0.7910)
F (0.5875, 0.9579, 0.2914)
F (0.8602, 0.8625, 0.8428)
F (0.8615, 0.3631, 0.3426)
F (0.8708, 0.6415, 0.0851)
F (0.8716, 0.1417, 0.5848)

---

Entry 6:
For Mn3Fe2CoP6O24, a structure optimized by DFT (GGA+U) gives the computed X-ray powder pattern in this record (Cu Kα).
Intensities are scaled so that the largest is 1000.

The 10 most intense peaks (10 to 90 degrees two-theta), sorted by position:
Position (°2θ)  Rel. int.
20.82  928
24.57  1000
25.61  189
33.53  653
36.47  389
48.09  362
50.37  244
57.11  280
57.49  182
63.77  183

Cell and atoms:
Unit cell a=8.4441 b=8.4441 c=8.4441 alpha=60.71 beta=60.71 gamma=60.71
Positions (direct):
Mn (0.0000, 0.0000, 0.0000)
Mn (0.2174, 0.2174, 0.2174)
Mn (0.7167, 0.7167, 0.7167)
Fe (0.3596, 0.3596, 0.3596)
Fe (0.8579, 0.8579, 0.8579)
Co (0.4990, 0.4990, 0.4990)
P (0.1108, 0.8170, 0.3983)
P (0.3193, 0.6070, 0.8983)
P (0.3983, 0.1108, 0.8170)
P (0.6070, 0.8983, 0.3193)
P (0.8170, 0.3983, 0.1108)
P (0.8983, 0.3193, 0.6070)
O (0.0421, 0.8543, 0.2418)
O (0.1023, 0.3001, 0.4478)
O (0.1176, 0.7715, 0.9166)
O (0.1718, 0.9760, 0.3662)
O (0.2418, 0.0421, 0.8543)
O (0.2745, 0.6166, 0.4141)
O (0.3001, 0.4478, 0.1023)
O (0.3498, 0.5448, 0.7417)
O (0.3662, 0.1718, 0.9760)
O (0.4141, 0.2745, 0.6166)
O (0.4478, 0.1023, 0.3001)
O (0.4764, 0.6696, 0.8686)
O (0.5448, 0.7417, 0.3498)
O (0.5965, 0.9453, 0.8043)
O (0.6166, 0.4141, 0.2745)
O (0.6696, 0.8686, 0.4764)
O (0.7417, 0.3498, 0.5448)
O (0.7715, 0.9166, 0.1176)
O (0.8043, 0.5965, 0.9453)
O (0.8543, 0.2418, 0.0421)
O (0.8686, 0.4764, 0.6696)
O (0.9166, 0.1176, 0.7715)
O (0.9453, 0.8043, 0.5965)
O (0.9760, 0.3662, 0.1718)

---

Entry 7:
For Li4Mn5P6WO24, a structure optimized by DFT (GGA+U) gives the computed X-ray powder pattern in this record (Cu Kα).
Intensities are scaled so that the largest is 1000.

The 10 most intense peaks (10 to 90 degrees two-theta), sorted by position:
Position (°2θ)  Rel. int.
12.03  549
19.55  937
19.63  532
20.35  435
23.33  876
23.45  440
32.26  1000
32.40  478
34.19  601
34.37  286

Cell and atoms:
Unit cell a=8.7283 b=8.7446 c=8.7554 alpha=62.25 beta=62.44 gamma=62.77
Positions (direct):
Li (0.0000, 0.0000, 0.0000)
Li (0.1024, 0.4873, 0.9497)
Li (0.5518, 0.6933, 0.2942)
Li (0.8916, 0.1460, 0.4954)
Mn (0.2749, 0.8493, 0.6474)
Mn (0.4062, 0.0005, 0.7970)
Mn (0.6007, 0.1984, 0.9951)
Mn (0.7408, 0.3518, 0.1459)
Mn (0.9093, 0.5043, 0.3065)
P (0.0010, 0.2846, 0.6991)
P (0.1862, 0.0907, 0.1935)
P (0.3095, 0.5897, 0.0875)
P (0.5008, 0.4007, 0.5918)
P (0.6956, 0.9007, 0.3944)
P (0.8167, 0.7963, 0.8963)
W (0.1071, 0.6931, 0.4984)
O (0.0041, 0.2510, 0.2202)
O (0.0119, 0.7502, 0.7423)
O (0.0694, 0.4479, 0.6380)
O (0.1518, 0.0977, 0.7216)
O (0.1590, 0.9408, 0.3953)
O (0.1656, 0.5135, 0.1191)
O (0.1948, 0.0240, 0.0557)
O (0.2541, 0.6501, 0.2547)
O (0.3090, 0.7555, 0.9106)
O (0.3563, 0.1307, 0.1480)
O (0.3577, 0.6046, 0.5506)
O (0.4208, 0.2606, 0.6327)
O (0.4989, 0.4473, 0.0770)
O (0.5095, 0.9264, 0.5446)
O (0.5575, 0.3745, 0.7440)
O (0.6574, 0.4151, 0.4017)
O (0.6584, 0.8561, 0.8338)
O (0.7108, 0.0810, 0.2348)
O (0.7180, 0.7539, 0.3277)
O (0.8204, 0.9410, 0.9457)
O (0.8265, 0.6057, 0.0505)
O (0.8534, 0.8362, 0.4693)
O (0.8595, 0.2775, 0.8912)
O (0.9305, 0.3099, 0.5554)

---

Entry 8:
For V3CrCo2P6O24, a structure optimized by DFT (GGA+U) gives the computed X-ray powder pattern in this record (Cu Kα).
Intensities are scaled so that the largest is 1000.

The 10 most intense peaks (10 to 90 degrees two-theta), sorted by position:
Position (°2θ)  Rel. int.
20.64  781
24.37  1000
25.40  191
32.07  163
33.27  638
36.16  344
47.70  317
49.95  241
56.59  218
63.20  173

Cell and atoms:
Unit cell a=8.5073 b=8.5073 c=8.5073 alpha=60.77 beta=60.77 gamma=60.77
Positions (direct):
V (0.0000, 0.0000, 0.0000)
V (0.2151, 0.2151, 0.2151)
V (0.5004, 0.5004, 0.5004)
Cr (0.7164, 0.7164, 0.7164)
Co (0.3572, 0.3572, 0.3572)
Co (0.8574, 0.8574, 0.8574)
P (0.1076, 0.8148, 0.4014)
P (0.3162, 0.6081, 0.9003)
P (0.4014, 0.1076, 0.8148)
P (0.6081, 0.9003, 0.3162)
P (0.8148, 0.4014, 0.1076)
P (0.9003, 0.3162, 0.6081)
O (0.0463, 0.8533, 0.2399)
O (0.0968, 0.2957, 0.4435)
O (0.1181, 0.7702, 0.9165)
O (0.1733, 0.9750, 0.3593)
O (0.2399, 0.0463, 0.8533)
O (0.2720, 0.6187, 0.4163)
O (0.2957, 0.4435, 0.0968)
O (0.3535, 0.5460, 0.7385)
O (0.3593, 0.1733, 0.9750)
O (0.4163, 0.2720, 0.6187)
O (0.4435, 0.0968, 0.2957)
O (0.4738, 0.6673, 0.8668)
O (0.5460, 0.7385, 0.3535)
O (0.5968, 0.9467, 0.8015)
O (0.6187, 0.4163, 0.2720)
O (0.6673, 0.8668, 0.4738)
O (0.7385, 0.3535, 0.5460)
O (0.7702, 0.9165, 0.1181)
O (0.8015, 0.5968, 0.9467)
O (0.8533, 0.2399, 0.0463)
O (0.8668, 0.4738, 0.6673)
O (0.9165, 0.1181, 0.7702)
O (0.9467, 0.8015, 0.5968)
O (0.9750, 0.3593, 0.1733)